No. 1
# SmTm5Sc5
Calculated powder XRD pattern, Cu Kα (λ = 1.5418 Å). Input: a cell relaxed with PBE.
Kinematic intensities with the Lorentz-polarization factor, no thermal factor.

Structural model:
a = 5.760 Å, b = 5.760 Å, c = 11.194 Å
α = 90.00°, β = 90.00°, γ = 120.00°
Sites, in units of the cell vectors:
Sm (0.000, 0.000, 0.000)
Tm (0.000, 0.000, 0.323)
Tm (0.000, 0.000, 0.677)
Tm (0.333, 0.667, 0.162)
Tm (0.333, 0.667, 0.838)
Tm (0.667, 0.333, 0.000)
Sc (0.502, 0.004, 0.500)
Sc (0.502, 0.498, 0.500)
Sc (0.667, 0.333, 0.268)
Sc (0.667, 0.333, 0.732)
Sc (0.996, 0.498, 0.500)

Most intense lines, 2θ from 10° to 90°, sorted by position:
- 2θ = 23.9°, d = 3.725 Å, I = 16
- 2θ = 29.9°, d = 2.988 Å, I = 100
- 2θ = 31.1°, d = 2.880 Å, I = 86
- 2θ = 32.1°, d = 2.789 Å, I = 21
- 2θ = 36.9°, d = 2.438 Å, I = 25
- 2θ = 39.5°, d = 2.279 Å, I = 17
- 2θ = 43.7°, d = 2.074 Å, I = 25
- 2θ = 54.5°, d = 1.683 Å, I = 38
- 2θ = 55.2°, d = 1.663 Å, I = 17
- 2θ = 59.0°, d = 1.565 Å, I = 27

No. 2
# TaGe2
Calculated powder XRD pattern, Cu Kα (λ = 1.5418 Å). Input: a cell relaxed with PBE.
Kinematic intensities with the Lorentz-polarization factor, no thermal factor.

Structural model:
a = 5.002 Å, b = 5.002 Å, c = 6.810 Å
α = 90.00°, β = 90.00°, γ = 120.00°
Sites, in units of the cell vectors:
Ta (0.000, 0.500, 0.333)
Ta (0.500, 0.000, 0.000)
Ta (0.500, 0.500, 0.667)
Ge (0.164, 0.329, 0.000)
Ge (0.164, 0.836, 0.667)
Ge (0.329, 0.164, 0.333)
Ge (0.671, 0.836, 0.333)
Ge (0.836, 0.164, 0.667)
Ge (0.836, 0.671, 0.000)

Most intense lines, 2θ from 10° to 90°, sorted by position:
- 2θ = 24.4°, d = 3.655 Å, I = 32
- 2θ = 35.9°, d = 2.501 Å, I = 15
- 2θ = 38.3°, d = 2.348 Å, I = 100
- 2θ = 39.7°, d = 2.270 Å, I = 34
- 2θ = 45.0°, d = 2.016 Å, I = 64
- 2θ = 66.1°, d = 1.413 Å, I = 20
- 2θ = 66.4°, d = 1.407 Å, I = 20
- 2θ = 70.9°, d = 1.329 Å, I = 17
- 2θ = 76.1°, d = 1.251 Å, I = 15
- 2θ = 89.5°, d = 1.095 Å, I = 21